Structure and theoretical X-ray diffraction stick pattern of SrErCu10 (a cell relaxed with PBE; copper Kα).

The 8 most intense peaks (5° ≤ 2θ ≤ 70°), by intensity:
h k l	2θ (°)	d/Å	intensity
1 1 3	41.6	2.169	100
1 2 0	41.4	2.181	51
2 0 0	44.9	2.019	40
1 1 1	29.8	2.999	36
0 2 2	40.3	2.239	34
0 1 3	34.9	2.572	27
1 3 3	66.8	1.400	22
0 0 1	10.0	8.888	20

Cell and atoms:
a b c (Å): 4.037 5.185 8.888
angles (deg): 90.00 90.00 90.00
Sites, in units of the cell vectors:
1 Sr 0.000 0.000 0.000
2 Er 0.000 0.500 0.500
3 Cu 0.000 0.000 0.341
4 Cu 0.000 0.000 0.659
5 Cu 0.000 0.500 0.176
6 Cu 0.000 0.500 0.824
7 Cu 0.500 0.000 0.500
8 Cu 0.500 0.257 0.261
9 Cu 0.500 0.257 0.739
10 Cu 0.500 0.500 0.000
11 Cu 0.500 0.743 0.261
12 Cu 0.500 0.743 0.739